Simulated powder X-ray diffraction pattern of Y5AlIn4 for Cu Kα (λ = 1.5418 Å), from a cell relaxed with PBE.
Intensities are scaled so that the largest is 100.

Structural model:
Lattice parameters (Å, degrees): 3.679 3.679 19.262 90.00 90.00 90.00
Space group P4/mmm (No. 123)
Symmetry-distinct sites (fractional):
Y  0.000  0.000  0.000 [1 per cell]
Y  0.000  0.000  0.206 [2 per cell]
Y  0.000  0.000  0.408 [2 per cell]
Al  0.500  0.500  0.500 [1 per cell]
In  0.500  0.500  0.103 [2 per cell]
In  0.500  0.500  0.307 [2 per cell]

Main lines, sorted by position (5 to 70 degrees two-theta):
| h k l | 2θ/deg | I_rel |
| --- | --- | --- |
| 1 0 5 | 33.7 | 100 |
| 1 1 0 | 34.5 | 48 |
| 0 0 10 | 47.2 | 9 |
| 2 0 0 | 49.6 | 17 |
| 1 1 10 | 59.7 | 17 |
| 2 1 5 | 61.3 | 34 |

***

Simulated powder X-ray diffraction pattern of Y4AlIn for Cu Kα (λ = 1.5418 Å), from a cell relaxed with PBE.
Intensities are scaled so that the largest is 100.

Structural model:
Lattice parameters (Å, degrees): 3.739 5.664 8.475 90.00 90.00 90.00
Space group Pmmm (No. 47)
Symmetry-distinct sites (fractional):
Y  0.000  0.000  0.199 [2 per cell]
Y  0.500  0.500  0.287 [2 per cell]
Al  0.000  0.500  0.000 [1 per cell]
In  0.500  0.000  0.500 [1 per cell]

Main lines, sorted by position (5 to 70 degrees two-theta):
| h k l | 2θ/deg | I_rel |
| --- | --- | --- |
| 1 0 1 | 26.1 | 34 |
| 1 1 0 | 28.6 | 22 |
| 0 2 0 | 31.6 | 47 |
| 0 1 3 | 35.5 | 42 |
| 1 1 2 | 35.7 | 100 |
| 1 3 2 | 59.0 | 22 |

***

Simulated powder X-ray diffraction pattern of Y2Al3In3 for Cu Kα (λ = 1.5418 Å), from a cell relaxed with PBE.
Intensities are scaled so that the largest is 100.

Structural model:
Lattice parameters (Å, degrees): 4.472 4.498 8.835 90.00 90.00 90.00
Space group Pmmm (No. 47)
Symmetry-distinct sites (fractional):
Y  0.000  0.000  0.243 [2 per cell]
Al  0.000  0.500  0.000 [1 per cell]
Al  0.500  0.000  0.000 [1 per cell]
Al  0.500  0.000  0.500 [1 per cell]
In  0.000  0.500  0.500 [1 per cell]
In  0.500  0.500  0.238 [2 per cell]

Main lines, sorted by position (5 to 70 degrees two-theta):
| h k l | 2θ/deg | I_rel |
| --- | --- | --- |
| 1 1 2 | 34.8 | 100 |
| 0 2 0 | 40.1 | 17 |
| 2 0 0 | 40.3 | 17 |
| 0 0 4 | 40.9 | 15 |
| 1 3 2 | 69.5 | 13 |
| 3 1 2 | 69.8 | 12 |

***

Simulated powder X-ray diffraction pattern of YAlIn for Cu Kα (λ = 1.5418 Å), from a cell relaxed with PBE.
Intensities are scaled so that the largest is 100.

Structural model:
Lattice parameters (Å, degrees): 4.235 11.115 6.083 90.00 90.00 90.00
Space group Cmcm (No. 63)
Symmetry-distinct sites (fractional):
Y  0.000  0.184  0.250 [4 per cell]
Al  0.000  0.500  0.000 [4 per cell]
In  0.000  0.110  0.750 [4 per cell]

Main lines, sorted by position (5 to 70 degrees two-theta):
| h k l | 2θ/deg | I_rel |
| --- | --- | --- |
| 1 1 0 | 22.5 | 78 |
| 0 0 2 | 29.4 | 66 |
| 1 3 0 | 32.1 | 92 |
| 1 3 1 | 35.4 | 84 |
| 1 1 2 | 37.3 | 100 |
| 0 4 2 | 44.1 | 62 |